Theoretical X-ray diffraction stick pattern of FeIr5 for a wavelength of 1.5418 Å, from a DFT-relaxed cell (GGA-PBE, Alexandria).

Atomic structure:
```
data_FeIr5
_chemical_formula_sum 'Fe1 Ir5'
_cell_length_a 4.701
_cell_length_b 2.727
_cell_length_c 6.646
_cell_angle_alpha 90.00
_cell_angle_beta 90.50
_cell_angle_gamma 90.00
_symmetry_space_group_name_H-M 'P 1 2/m 1'
_symmetry_Int_Tables_number 10
_symmetry_space_group_name_Hall '-P 2y'
loop_
_atom_site_label
_atom_site_fract_x
_atom_site_fract_y
_atom_site_fract_z
Fe1 0.000 0.000 0.000
Ir1 0.163 0.500 0.327
Ir2 0.333 0.000 0.670
Ir3 0.500 0.500 0.000
```

Top 12 peaks for 2θ from 10° to 80°, most intense first:
2θ 40.7, I 100, (1 1 1); 2θ 47.1, I 44, (1 1 -2); 2θ 40.6, I 35, (2 0 -1); 2θ 47.6, I 21, (2 0 2); 2θ 68.9, I 14, (0 2 0); 2θ 69.1, I 14, (3 1 0); 2θ 69.3, I 14, (1 1 4); 2θ 13.3, I 6, (0 0 1); 2θ 18.9, I 3, (1 0 0); 2θ 26.8, I 3, (0 0 2); 2θ 23.1, I 2, (1 0 -1); 2θ 23.3, I 2, (1 0 1)

---

Theoretical X-ray diffraction stick pattern of LiFeIr for a wavelength of 1.5418 Å, from a DFT-relaxed cell (GGA-PBE, Alexandria).

Atomic structure:
```
data_LiFeIr
_chemical_formula_sum 'Li4 Fe4 Ir4'
_cell_length_a 4.471
_cell_length_b 4.722
_cell_length_c 6.712
_cell_angle_alpha 90.00
_cell_angle_beta 90.00
_cell_angle_gamma 90.00
_symmetry_space_group_name_H-M 'I m m a'
_symmetry_Int_Tables_number 74
_symmetry_space_group_name_Hall '-I 2b 2'
loop_
_atom_site_label
_atom_site_fract_x
_atom_site_fract_y
_atom_site_fract_z
Li1 0.250 0.250 0.250
Fe1 0.000 0.000 0.000
Ir1 0.000 0.250 0.635
```

Top 12 peaks for 2θ from 10° to 80°, most intense first:
2θ 38.6, I 100, (1 1 2); 2θ 23.0, I 100, (0 1 1); 2θ 45.5, I 60, (1 2 1); 2θ 45.3, I 42, (1 0 3); 2θ 47.0, I 42, (2 1 1); 2θ 40.3, I 37, (2 0 0); 2θ 23.9, I 20, (1 0 1); 2θ 69.2, I 18, (1 3 2); 2θ 72.2, I 16, (3 1 2); 2θ 68.6, I 14, (0 2 4); 2θ 38.1, I 13, (0 2 0); 2θ 77.0, I 12, (3 2 1)

---

Theoretical X-ray diffraction stick pattern of LiFeIr6 for a wavelength of 1.5418 Å, from a DFT-relaxed cell (GGA-PBE, Alexandria).

Atomic structure:
```
data_LiFeIr6
_chemical_formula_sum 'Li2 Fe2 Ir12'
_cell_length_a 5.590
_cell_length_b 9.095
_cell_length_c 5.182
_cell_angle_alpha 90.00
_cell_angle_beta 117.61
_cell_angle_gamma 90.00
_symmetry_space_group_name_H-M 'C 1 2/m 1'
_symmetry_Int_Tables_number 12
_symmetry_space_group_name_Hall '-C 2y'
loop_
_atom_site_label
_atom_site_fract_x
_atom_site_fract_y
_atom_site_fract_z
Li1 0.000 0.000 0.000
Fe1 0.000 0.000 0.500
Ir1 0.044 0.500 0.757
Ir2 0.248 0.276 0.244
```

Top 12 peaks for 2θ from 10° to 80°, most intense first:
2θ 41.5, I 100, (2 2 0); 2θ 44.2, I 99, (2 2 -2); 2θ 39.2, I 66, (0 0 2); 2θ 39.6, I 51, (0 4 0); 2θ 20.4, I 45, (1 1 0); 2θ 57.0, I 31, (0 4 2); 2θ 70.8, I 23, (2 2 2); 2θ 36.0, I 22, (1 1 -2); 2θ 19.5, I 20, (0 2 0); 2θ 35.5, I 19, (1 3 -1); 2θ 76.5, I 18, (2 2 -4); 2θ 52.1, I 13, (1 1 2)

---

Theoretical X-ray diffraction stick pattern of LiTiFeIr for a wavelength of 1.5418 Å, from a DFT-relaxed cell (GGA-PBE, Alexandria).

Atomic structure:
```
data_LiTiFeIr
_chemical_formula_sum 'Li4 Ti4 Fe4 Ir4'
_cell_length_a 5.965
_cell_length_b 5.965
_cell_length_c 5.965
_cell_angle_alpha 90.00
_cell_angle_beta 90.00
_cell_angle_gamma 90.00
_symmetry_space_group_name_H-M 'F -4 3 m'
_symmetry_Int_Tables_number 216
_symmetry_space_group_name_Hall 'F -4 2 3'
loop_
_atom_site_label
_atom_site_fract_x
_atom_site_fract_y
_atom_site_fract_z
Li1 0.000 0.000 0.000
Ti1 0.000 0.000 0.500
Fe1 0.250 0.250 0.750
Ir1 0.250 0.250 0.250
```

Top 9 peaks for 2θ from 10° to 80°, most intense first:
2θ 42.9, I 100, (2 2 0); 2θ 30.0, I 56, (2 0 0); 2θ 25.9, I 52, (1 1 1); 2θ 78.6, I 32, (4 2 2); 2θ 50.8, I 26, (3 1 1); 2θ 70.6, I 20, (4 2 0); 2θ 62.3, I 16, (4 0 0); 2θ 53.2, I 15, (2 2 2); 2θ 68.6, I 11, (3 3 1)

---

Theoretical X-ray diffraction stick pattern of MgFeSnIr for a wavelength of 1.5418 Å, from a DFT-relaxed cell (GGA-PBE, Alexandria).

Atomic structure:
```
data_MgFeSnIr
_chemical_formula_sum 'Mg4 Fe4 Sn4 Ir4'
_cell_length_a 6.265
_cell_length_b 6.265
_cell_length_c 6.265
_cell_angle_alpha 90.00
_cell_angle_beta 90.00
_cell_angle_gamma 90.00
_symmetry_space_group_name_H-M 'F -4 3 m'
_symmetry_Int_Tables_number 216
_symmetry_space_group_name_Hall 'F -4 2 3'
loop_
_atom_site_label
_atom_site_fract_x
_atom_site_fract_y
_atom_site_fract_z
Mg1 0.000 0.000 0.000
Fe1 0.250 0.250 0.750
Sn1 0.000 0.000 0.500
Ir1 0.250 0.250 0.250
```

Top 10 peaks for 2θ from 10° to 80°, most intense first:
2θ 40.7, I 100, (2 2 0); 2θ 24.6, I 40, (1 1 1); 2θ 74.1, I 34, (4 2 2); 2θ 48.2, I 21, (3 1 1); 2θ 59.0, I 17, (4 0 0); 2θ 64.9, I 9, (3 3 1); 2θ 28.5, I 8, (2 0 0); 2θ 79.5, I 7, (5 1 1); 2θ 66.8, I 3, (4 2 0); 2θ 50.5, I 2, (2 2 2)

---

Theoretical X-ray diffraction stick pattern of FeMoIr3 for a wavelength of 1.5418 Å, from a DFT-relaxed cell (GGA-PBE, Alexandria).

Atomic structure:
```
data_FeMoIr3
_chemical_formula_sum 'Fe4 Mo4 Ir12'
_cell_length_a 12.124
_cell_length_b 4.955
_cell_length_c 4.936
_cell_angle_alpha 90.00
_cell_angle_beta 90.00
_cell_angle_gamma 90.00
_symmetry_space_group_name_H-M 'P n n a'
_symmetry_Int_Tables_number 52
_symmetry_space_group_name_Hall '-P 2a 2bc'
loop_
_atom_site_label
_atom_site_fract_x
_atom_site_fract_y
_atom_site_fract_z
Fe1 0.037 0.250 0.250
Mo1 0.250 0.000 0.124
Ir1 0.045 0.750 0.250
Ir2 0.145 0.007 0.628
```

Top 12 peaks for 2θ from 10° to 80°, most intense first:
2θ 41.5, I 100, (5 0 1); 2θ 39.3, I 53, (2 2 0); 2θ 46.8, I 25, (3 2 1); 2θ 25.5, I 18, (0 1 1); 2θ 68.8, I 16, (1 3 2); 2θ 26.5, I 15, (1 1 1); 2θ 52.3, I 12, (6 1 1); 2θ 47.4, I 11, (4 2 0); 2θ 56.3, I 11, (5 1 2); 2θ 77.0, I 8, (0 4 0); 2θ 39.4, I 7, (2 0 2); 2θ 36.4, I 7, (0 0 2)

---

Theoretical X-ray diffraction stick pattern of FeMoIr2 for a wavelength of 1.5418 Å, from a DFT-relaxed cell (GGA-PBE, Alexandria).

Atomic structure:
```
data_FeMoIr2
_chemical_formula_sum 'Fe1 Mo1 Ir2'
_cell_length_a 2.724
_cell_length_b 3.811
_cell_length_c 5.464
_cell_angle_alpha 90.00
_cell_angle_beta 90.00
_cell_angle_gamma 90.00
_symmetry_space_group_name_H-M 'P m m 2'
_symmetry_Int_Tables_number 25
_symmetry_space_group_name_Hall 'P 2 -2'
loop_
_atom_site_label
_atom_site_fract_x
_atom_site_fract_y
_atom_site_fract_z
Fe1 0.000 0.000 0.000
Mo1 0.500 0.500 0.740
Ir1 0.000 0.000 0.488
Ir2 0.500 0.500 0.210
```

Top 12 peaks for 2θ from 10° to 80°, most intense first:
2θ 40.7, I 100, (1 1 0); 2θ 47.1, I 32, (1 0 2); 2θ 69.3, I 20, (1 2 2); 2θ 47.7, I 16, (0 2 0); 2θ 28.6, I 15, (0 1 1); 2θ 16.2, I 15, (0 0 1); 2θ 36.9, I 8, (1 0 1); 2θ 68.9, I 5, (2 0 0); 2θ 44.1, I 5, (1 1 1); 2θ 66.4, I 5, (1 1 3); 2θ 68.7, I 5, (0 0 4); 2θ 61.8, I 4, (1 2 1)

---

Theoretical X-ray diffraction stick pattern of NbFeTeIrN for a wavelength of 1.5418 Å, from a DFT-relaxed cell (GGA-PBE, Alexandria).

Atomic structure:
```
data_NbFeTeIrN
_chemical_formula_sum 'Nb2 Fe2 Te2 Ir2 N2'
_cell_length_a 3.112
_cell_length_b 4.212
_cell_length_c 12.820
_cell_angle_alpha 90.00
_cell_angle_beta 90.00
_cell_angle_gamma 90.00
_symmetry_space_group_name_H-M 'A m m 2'
_symmetry_Int_Tables_number 38
_symmetry_space_group_name_Hall 'A 2 -2'
loop_
_atom_site_label
_atom_site_fract_x
_atom_site_fract_y
_atom_site_fract_z
Nb1 0.000 0.000 0.000
Fe1 0.500 0.000 0.562
Te1 0.500 0.000 0.801
Ir1 0.500 0.000 0.173
N1 0.000 0.000 0.485
```

Top 12 peaks for 2θ from 10° to 80°, most intense first:
2θ 41.8, I 100, (1 1 3); 2θ 32.0, I 60, (1 0 2); 2θ 41.2, I 53, (0 1 5); 2θ 29.8, I 42, (0 1 3); 2θ 13.8, I 41, (0 0 2); 2θ 22.2, I 40, (0 1 1); 2θ 42.9, I 34, (0 2 0); 2θ 28.7, I 30, (1 0 0); 2θ 51.0, I 27, (1 1 5); 2θ 54.5, I 26, (1 2 2); 2θ 74.9, I 18, (2 1 5); 2θ 65.5, I 17, (1 0 8)

---

Theoretical X-ray diffraction stick pattern of NbFeTeIrN for a wavelength of 1.5418 Å, from a DFT-relaxed cell (GGA-PBE, Alexandria).

Atomic structure:
```
data_NbFeTeIrN
_chemical_formula_sum 'Nb2 Fe2 Te2 Ir2 N2'
_cell_length_a 7.519
_cell_length_b 3.099
_cell_length_c 7.150
_cell_angle_alpha 90.00
_cell_angle_beta 117.11
_cell_angle_gamma 90.00
_symmetry_space_group_name_H-M 'C 1 m 1'
_symmetry_Int_Tables_number 8
_symmetry_space_group_name_Hall 'C -2y'
loop_
_atom_site_label
_atom_site_fract_x
_atom_site_fract_y
_atom_site_fract_z
Nb1 0.000 0.000 0.000
Fe1 0.104 0.500 0.750
Te1 0.309 0.500 0.536
Ir1 0.418 0.000 0.281
N1 0.263 0.000 0.950
```

Top 12 peaks for 2θ from 10° to 80°, most intense first:
2θ 38.5, I 100, (2 0 -3); 2θ 32.2, I 81, (1 1 -1); 2θ 46.8, I 54, (3 1 -1); 2θ 35.5, I 49, (2 0 1); 2θ 47.0, I 49, (1 1 2); 2θ 26.6, I 29, (2 0 0); 2θ 13.9, I 27, (0 0 1); 2θ 48.6, I 24, (4 0 -2); 2θ 73.3, I 15, (2 2 -3); 2θ 59.7, I 15, (0 2 0); 2θ 58.0, I 14, (0 0 4); 2θ 71.4, I 13, (2 2 1)

---

Theoretical X-ray diffraction stick pattern of NbFeIr for a wavelength of 1.5418 Å, from a DFT-relaxed cell (GGA-PBE, Alexandria).

Atomic structure:
```
data_NbFeIr
_chemical_formula_sum 'Nb4 Fe4 Ir4'
_cell_length_a 4.836
_cell_length_b 5.267
_cell_length_c 7.000
_cell_angle_alpha 90.00
_cell_angle_beta 90.00
_cell_angle_gamma 90.00
_symmetry_space_group_name_H-M 'I m m a'
_symmetry_Int_Tables_number 74
_symmetry_space_group_name_Hall '-I 2b 2'
loop_
_atom_site_label
_atom_site_fract_x
_atom_site_fract_y
_atom_site_fract_z
Nb1 0.000 0.250 0.117
Fe1 0.250 0.250 0.750
Ir1 0.000 0.000 0.500
```

Top 12 peaks for 2θ from 10° to 80°, most intense first:
2θ 41.1, I 100, (1 2 1); 2θ 43.0, I 76, (1 0 3); 2θ 22.3, I 48, (1 0 1); 2θ 45.6, I 36, (2 0 2); 2θ 76.3, I 27, (2 2 4); 2θ 25.4, I 25, (0 0 2); 2θ 37.2, I 25, (2 0 0); 2θ 69.7, I 21, (3 2 1); 2θ 36.0, I 19, (1 1 2); 2θ 43.2, I 19, (2 1 1); 2θ 42.4, I 12, (0 1 3); 2θ 70.0, I 11, (1 0 5)

---

Theoretical X-ray diffraction stick pattern of NbFe3Ir for a wavelength of 1.5418 Å, from a DFT-relaxed cell (GGA-PBE, Alexandria).

Atomic structure:
```
data_NbFe3Ir
_chemical_formula_sum 'Nb1 Fe3 Ir1'
_cell_length_a 4.382
_cell_length_b 4.382
_cell_length_c 4.382
_cell_angle_alpha 90.00
_cell_angle_beta 90.00
_cell_angle_gamma 90.00
_symmetry_space_group_name_H-M 'P m -3 m'
_symmetry_Int_Tables_number 221
_symmetry_space_group_name_Hall '-P 4 2 3'
loop_
_atom_site_label
_atom_site_fract_x
_atom_site_fract_y
_atom_site_fract_z
Nb1 0.000 0.000 0.000
Fe1 0.000 0.500 0.500
Ir1 0.500 0.500 0.500
```

Top 12 peaks for 2θ from 10° to 80°, most intense first:
2θ 28.8, I 100, (1 1 0); 2θ 41.2, I 80, (2 0 0); 2θ 20.3, I 53, (1 0 0); 2θ 59.7, I 52, (2 2 0); 2θ 51.0, I 42, (2 1 1); 2θ 46.3, I 25, (2 1 0); 2θ 67.6, I 18, (3 1 0); 2θ 75.1, I 17, (2 2 2); 2θ 63.7, I 12, (3 0 0); 2θ 35.5, I 5, (1 1 1); 2θ 78.7, I 5, (3 2 0); 2θ 71.4, I 1, (3 1 1)

---

Theoretical X-ray diffraction stick pattern of NbFeIrRu for a wavelength of 1.5418 Å, from a DFT-relaxed cell (GGA-PBE, Alexandria).

Atomic structure:
```
data_NbFeIrRu
_chemical_formula_sum 'Nb1 Fe1 Ir1 Ru1'
_cell_length_a 3.778
_cell_length_b 3.875
_cell_length_c 3.938
_cell_angle_alpha 90.00
_cell_angle_beta 90.00
_cell_angle_gamma 90.00
_symmetry_space_group_name_H-M 'P m m m'
_symmetry_Int_Tables_number 47
_symmetry_space_group_name_Hall '-P 2 2'
loop_
_atom_site_label
_atom_site_fract_x
_atom_site_fract_y
_atom_site_fract_z
Nb1 0.000 0.000 0.000
Fe1 0.000 0.500 0.500
Ir1 0.500 0.000 0.500
Ru1 0.500 0.500 0.000
```

Top 12 peaks for 2θ from 10° to 80°, most intense first:
2θ 40.5, I 100, (1 1 1); 2θ 46.1, I 17, (0 0 2); 2θ 46.9, I 16, (0 2 0); 2θ 48.2, I 15, (2 0 0); 2θ 67.9, I 11, (0 2 2); 2θ 68.9, I 10, (2 0 2); 2θ 69.5, I 10, (2 2 0); 2θ 23.6, I 9, (1 0 0); 2θ 32.4, I 9, (0 1 1); 2θ 22.9, I 8, (0 1 0); 2θ 32.9, I 7, (1 0 1); 2θ 59.3, I 3, (2 1 1)

---

Theoretical X-ray diffraction stick pattern of Sc2NbFeIr for a wavelength of 1.5418 Å, from a DFT-relaxed cell (GGA-PBE, Alexandria).

Atomic structure:
```
data_Sc2NbFeIr
_chemical_formula_sum 'Sc2 Nb1 Fe1 Ir1'
_cell_length_a 4.932
_cell_length_b 4.932
_cell_length_c 4.268
_cell_angle_alpha 90.00
_cell_angle_beta 90.00
_cell_angle_gamma 90.00
_symmetry_space_group_name_H-M 'P 4/m m m'
_symmetry_Int_Tables_number 123
_symmetry_space_group_name_Hall '-P 4 2'
loop_
_atom_site_label
_atom_site_fract_x
_atom_site_fract_y
_atom_site_fract_z
Sc1 0.000 0.500 0.000
Nb1 0.000 0.000 0.000
Fe1 0.000 0.000 0.500
Ir1 0.500 0.500 0.500
```

Top 12 peaks for 2θ from 10° to 80°, most intense first:
2θ 27.6, I 100, (1 0 1); 2θ 36.4, I 90, (2 0 0); 2θ 25.5, I 77, (1 1 0); 2θ 33.2, I 72, (1 1 1); 2θ 46.3, I 51, (2 1 1); 2θ 57.1, I 48, (2 0 2); 2θ 42.4, I 32, (0 0 2); 2θ 52.5, I 31, (2 2 0); 2θ 50.1, I 25, (1 1 2); 2θ 69.6, I 25, (2 2 2); 2θ 63.5, I 21, (3 1 1); 2θ 59.2, I 16, (3 1 0)

---

Theoretical X-ray diffraction stick pattern of FeNi2Ir6 for a wavelength of 1.5418 Å, from a DFT-relaxed cell (GGA-PBE, Alexandria).

Atomic structure:
```
data_FeNi2Ir6
_chemical_formula_sum 'Fe2 Ni4 Ir12'
_cell_length_a 11.631
_cell_length_b 4.247
_cell_length_c 5.353
_cell_angle_alpha 90.00
_cell_angle_beta 103.06
_cell_angle_gamma 90.00
_symmetry_space_group_name_H-M 'C 1 m 1'
_symmetry_Int_Tables_number 8
_symmetry_space_group_name_Hall 'C -2y'
loop_
_atom_site_label
_atom_site_fract_x
_atom_site_fract_y
_atom_site_fract_z
Fe1 0.000 0.000 0.000
Ni1 0.034 0.000 0.531
Ni2 0.335 0.500 0.389
Ir1 0.140 0.500 0.065
Ir2 0.152 0.500 0.579
Ir3 0.222 0.000 0.354
Ir4 0.233 0.000 0.863
Ir5 0.434 0.000 0.216
Ir6 0.434 0.000 0.712
```

Top 12 peaks for 2θ from 10° to 80°, most intense first:
2θ 45.4, I 100, (5 1 0); 2θ 43.1, I 97, (3 1 -2); 2θ 43.0, I 89, (1 1 2); 2θ 42.6, I 67, (0 2 0); 2θ 22.4, I 67, (1 1 0); 2θ 31.6, I 38, (4 0 0); 2θ 41.3, I 37, (2 0 2); 2θ 41.4, I 34, (4 0 -2); 2θ 78.2, I 33, (3 3 -2); 2θ 60.8, I 24, (2 2 2); 2θ 60.9, I 22, (4 2 -2); 2θ 79.9, I 19, (5 3 0)

---

Theoretical X-ray diffraction stick pattern of FeNiIr2 for a wavelength of 1.5418 Å, from a DFT-relaxed cell (GGA-PBE, Alexandria).

Atomic structure:
```
data_FeNiIr2
_chemical_formula_sum 'Fe1 Ni1 Ir2'
_cell_length_a 2.6941
_cell_length_b 2.6941
_cell_length_c 8.3463
_cell_angle_alpha 90.00
_cell_angle_beta 90.00
_cell_angle_gamma 120.00
_symmetry_space_group_name_H-M 'P -3 m 1'
_symmetry_Int_Tables_number 164
_symmetry_space_group_name_Hall '-P 3 2"'
loop_
_atom_site_label
_atom_site_fract_x
_atom_site_fract_y
_atom_site_fract_z
Fe1 0.0000 0.0000 0.0000
Ni1 0.0000 0.0000 0.5000
Ir1 0.3333 0.6667 0.2494
```

Top 11 peaks for 2θ from 10° to 80°, most intense first:
2θ 40.1, I 100, (1 0 1); 2θ 44.5, I 68, (0 1 2); 2θ 51.1, I 50, (0 1 3); 2θ 21.3, I 49, (0 0 2); 2θ 43.4, I 31, (0 0 4); 2θ 69.8, I 23, (1 1 0); 2θ 69.2, I 20, (1 0 5); 2θ 73.9, I 11, (1 1 2); 2θ 67.3, I 2, (0 0 6); 2θ 38.6, I 2, (1 0 0); 2θ 59.4, I 2, (0 1 4)